Entry 1:
Starting from the PBE geometry in Alexandria, the powder diffraction line list of MnRePd2 was simulated for Cu Ka.
Lines closer than 0.1° are merged.

Largest 10 diffraction maxima, in order of rising 2θ, 2θ = 10–90°:
24.95°, d = 3.568 Å, intensity 18, (1 0 1); 28.61°, d = 3.121 Å, intensity 15, (1 0 3); 36.28°, d = 2.476 Å, intensity 100, (1 1 2); 39.62°, d = 2.275 Å, intensity 39, (0 0 8); 46.27°, d = 1.962 Å, intensity 50, (1 1 6); 54.30°, d = 1.689 Å, intensity 62, (2 0 4); 62.51°, d = 1.486 Å, intensity 23, (1 1 10); 82.87°, d = 1.165 Å, intensity 18, (2 0 12); 84.95°, d = 1.142 Å, intensity 17, (3 1 2); 87.01°, d = 1.120 Å, intensity 16, (2 2 8)

Cell and atoms:
```
data_MnRePd2
_chemical_formula_sum 'Mn4 Re4 Pd8'
_space_group_name_H-M_alt 'I -4 2 d'
_space_group_IT_number 122
_space_group_name_Hall 'I -4 2bw'
_cell_length_a 3.6391
_cell_length_b 3.6391
_cell_length_c 18.1980
_cell_angle_alpha 90.00
_cell_angle_beta 90.00
_cell_angle_gamma 90.00
loop_
_atom_site_label
_atom_site_fract_x
_atom_site_fract_y
_atom_site_fract_z
Mn1 0.0000 0.0000 0.0000
Re1 0.0000 0.0000 0.5000
Pd1 0.2453 0.2500 0.1250
```

Entry 2:
Starting from the PBE geometry in Alexandria, the powder diffraction line list of MnPd4Rh was simulated for Cu Ka.
Lines closer than 0.1° are merged.

Largest 10 diffraction maxima, in order of rising 2θ, 2θ = 10–90°:
35.36°, d = 2.539 Å, intensity 53, (2 0 2); 38.69°, d = 2.327 Å, intensity 27, (2 2 0); 39.16°, d = 2.300 Å, intensity 62, (0 4 0); 41.06°, d = 2.198 Å, intensity 100, (0 2 6); 45.88°, d = 1.978 Å, intensity 92, (2 2 4); 53.78°, d = 1.705 Å, intensity 31, (2 4 2); 72.26°, d = 1.308 Å, intensity 18, (0 6 6); 75.70°, d = 1.256 Å, intensity 20, (2 6 4); 84.21°, d = 1.150 Å, intensity 30, (0 8 0); 85.14°, d = 1.140 Å, intensity 21, (2 4 10)

Cell and atoms:
```
data_MnPd4Rh
_chemical_formula_sum 'Mn8 Pd32 Rh8'
_space_group_name_H-M_alt 'F d d d'
_space_group_IT_number 70
_cell_length_a 5.3951
_cell_length_b 9.2018
_cell_length_c 15.0128
_cell_angle_alpha 90.00
_cell_angle_beta 90.00
_cell_angle_gamma 90.00
loop_
_space_group_symop_operation_xyz
'x,y,z'
'-x,-y,-z'
'-x+1/4,-y+1/4,z'
'x+1/4,y+1/4,-z'
'x,-y+1/4,-z+1/4'
'-x,y+1/4,z+1/4'
'-x+1/4,y,-z+1/4'
'x+1/4,-y,z+1/4'
'x,y+1/2,z+1/2'
'-x,-y+1/2,-z+1/2'
'-x+1/4,-y+3/4,z+1/2'
'x+1/4,y+3/4,-z+1/2'
'x,-y+3/4,-z+3/4'
'-x,y+3/4,z+3/4'
'-x+1/4,y+1/2,-z+3/4'
'x+1/4,-y+1/2,z+3/4'
'x+1/2,y,z+1/2'
'-x+1/2,-y,-z+1/2'
'-x+3/4,-y+1/4,z+1/2'
'x+3/4,y+1/4,-z+1/2'
'x+1/2,-y+1/4,-z+3/4'
'-x+1/2,y+1/4,z+3/4'
'-x+3/4,y,-z+3/4'
'x+3/4,-y,z+3/4'
'x+1/2,y+1/2,z'
'-x+1/2,-y+1/2,-z'
'-x+3/4,-y+3/4,z'
'x+3/4,y+3/4,-z'
'x+1/2,-y+3/4,-z+1/4'
'-x+1/2,y+3/4,z+1/4'
'-x+3/4,y+1/2,-z+1/4'
'x+3/4,-y+1/2,z+1/4'
loop_
_atom_site_label
_atom_site_fract_x
_atom_site_fract_y
_atom_site_fract_z
Mn1 0.1250 0.1250 0.1250
Pd1 0.1235 0.3749 0.0327
Rh1 0.1250 0.1250 0.6250
```